Structure and computed XRD peak list of Fe4O3F5 (a GGA+U-relaxed structure; Cu Kα).
No peak broadening, texture or thermal motion is included.

Structural model:
a b c (Å): 4.7944 7.8360 7.8857
angles (deg): 104.79 91.52 91.28
Positions (direct):
Fe1 0.0000 0.0000 0.0000
Fe2 0.0114 0.5000 0.5024
Fe3 0.4476 0.6328 0.8844
Fe4 0.4847 0.8618 0.6125
Fe5 0.5250 0.1387 0.3908
Fe6 0.5684 0.3678 0.1239
Fe7 0.9479 0.2306 0.7529
Fe8 0.9862 0.7347 0.2171
O1 0.1822 0.7764 0.0265
O2 0.2977 0.6352 0.6493
O3 0.6806 0.5917 0.0863
O4 0.6869 0.0917 0.5909
O5 0.7150 0.3486 0.3533
O6 0.8008 0.2168 0.9678
F1 0.1911 0.0318 0.7651
F2 0.1933 0.2695 0.5283
F3 0.1963 0.5277 0.2725
F4 0.2778 0.9092 0.3814
F5 0.2890 0.3903 0.8950
F6 0.3150 0.1666 0.1657
F7 0.6887 0.8294 0.8463
F8 0.7776 0.9648 0.2289
F9 0.8075 0.4613 0.7176
F10 0.8246 0.7156 0.4553

Peak list (12 most intense, 2θ from 10° to 80°, by angle)
25.76 deg, rel. 1000; 26.83 deg, rel. 909; 34.27 deg, rel. 504; 34.42 deg, rel. 481; 37.54 deg, rel. 140; 51.03 deg, rel. 283; 51.34 deg, rel. 303; 52.39 deg, rel. 236; 52.96 deg, rel. 160; 55.29 deg, rel. 141; 59.36 deg, rel. 174; 65.91 deg, rel. 161